[1]
Structure and calculated powder X-ray diffraction pattern of MgMn2O2F2 (a crystal structure in the Materials Project, relaxed with GGA+U; Cu Kα (λ = 1.5418 Å)).

Atomic structure:
```
data_MgMn2O2F2
_chemical_formula_sum 'Mg2 Mn4 O4 F4'
_cell_length_a 3.267
_cell_length_b 6.446
_cell_length_c 9.424
_cell_angle_alpha 90.00
_cell_angle_beta 90.00
_cell_angle_gamma 90.00
_space_group_name_H-M_alt 'A m m 2'
_space_group_IT_number 38
loop_
_space_group_symop_operation_xyz
'x,y,z'
'-x,-y,z'
'-x,y,z'
'x,-y,z'
'x,y+1/2,z+1/2'
'-x,-y+1/2,z+1/2'
'-x,y+1/2,z+1/2'
'x,-y+1/2,z+1/2'
loop_
_atom_site_label
_atom_site_type_symbol
_atom_site_fract_x
_atom_site_fract_y
_atom_site_fract_z
Mg1 Mg 0.000 0.000 0.000
Mn1 Mn 0.000 0.000 0.625
Mn2 Mn 0.500 0.000 0.244
O1 O 0.000 0.199 0.162
F1 F 0.500 0.000 0.466
F2 F 0.500 0.000 0.892
```

Principal peaks in the range 2θ = 10–90°, by angle:
d/Å, two_theta, I_rel, index
4.712, 18.83, 53, 0 0 2
3.223, 27.68, 100, 0 2 0
2.824, 31.69, 65, 0 1 3
2.784, 32.15, 72, 1 1 1
2.685, 33.38, 74, 1 0 2
2.136, 42.31, 41, 1 1 3
2.063, 43.89, 39, 1 2 2
1.809, 50.45, 21, 0 1 5
1.763, 51.85, 34, 1 3 1
1.633, 56.33, 22, 2 0 0
1.559, 59.29, 25, 1 3 3
1.416, 65.96, 23, 0 3 5

[2]
Structure and calculated powder X-ray diffraction pattern of MgMn6O10F2 (a crystal structure in the Materials Project, relaxed with GGA+U; Cu Kα (λ = 1.5418 Å)).

Atomic structure:
```
data_MgMn6O10F2
_chemical_formula_sum 'Mg1 Mn6 O10 F2'
_cell_length_a 2.964
_cell_length_b 6.778
_cell_length_c 11.011
_cell_angle_alpha 106.86
_cell_angle_beta 90.01
_cell_angle_gamma 90.01
_space_group_name_H-M_alt 'P 1'
_space_group_IT_number 1
loop_
_space_group_symop_operation_xyz
'x,y,z'
loop_
_atom_site_label
_atom_site_type_symbol
_atom_site_fract_x
_atom_site_fract_y
_atom_site_fract_z
Mg1 Mg 0.000 0.000 0.000
Mn1 Mn 0.495 0.643 0.813
Mn2 Mn 0.496 0.982 0.498
Mn3 Mn 0.499 0.364 0.216
Mn4 Mn 0.993 0.170 0.801
Mn5 Mn 0.996 0.830 0.195
Mn6 Mn 0.998 0.521 0.512
O1 O 0.493 0.350 0.800
O2 O 0.495 0.012 0.865
O3 O 0.497 0.654 0.200
O4 O 0.497 0.693 0.496
O5 O 0.498 0.002 0.143
O6 O 0.995 0.627 0.696
O7 O 0.995 0.697 0.933
O8 O 0.996 0.037 0.615
O9 O 0.997 0.957 0.382
O10 O 0.999 0.392 0.329
F1 F 0.498 0.316 0.520
F2 F 0.998 0.301 0.073
```

Principal peaks in the range 2θ = 10–90°, by angle:
d/Å, two_theta, I_rel, index
3.512, 25.36, 90, 0 0 3
3.389, 26.30, 100, 0 2 -1
2.539, 35.35, 46, -1 1 1
2.526, 35.53, 50, 1 1 -2
2.462, 36.50, 21, 0 2 2
2.229, 40.47, 19, 0 1 4
1.767, 51.74, 32, 1 1 -5
1.747, 52.38, 23, 1 -3 0
1.734, 52.78, 38, 1 3 -3
1.694, 54.13, 19, 0 4 -2
1.482, 62.70, 19, 2 0 0
1.436, 64.95, 21, -1 3 3

[3]
Structure and calculated powder X-ray diffraction pattern of MgMn8O8F8 (a crystal structure in the Materials Project, relaxed with GGA+U; Cu Kα (λ = 1.5418 Å)).

Atomic structure:
```
data_MgMn8O8F8
_chemical_formula_sum 'Mg1 Mn8 O8 F8'
_cell_length_a 4.837
_cell_length_b 4.992
_cell_length_c 12.407
_cell_angle_alpha 88.02
_cell_angle_beta 89.06
_cell_angle_gamma 88.84
_space_group_name_H-M_alt 'P 1'
_space_group_IT_number 1
loop_
_space_group_symop_operation_xyz
'x,y,z'
loop_
_atom_site_label
_atom_site_type_symbol
_atom_site_fract_x
_atom_site_fract_y
_atom_site_fract_z
Mg1 Mg 0.000 0.000 0.000
Mn1 Mn 0.015 0.425 0.742
Mn2 Mn 0.029 0.451 0.497
Mn3 Mn 0.040 0.481 0.253
Mn4 Mn 0.455 0.938 0.620
Mn5 Mn 0.464 0.955 0.135
Mn6 Mn 0.520 0.008 0.863
Mn7 Mn 0.531 0.032 0.375
Mn8 Mn 0.922 0.510 0.998
O1 O 0.144 0.718 0.117
O2 O 0.178 0.624 0.623
O3 O 0.325 0.163 0.746
O4 O 0.329 0.169 0.494
O5 O 0.336 0.193 0.246
O6 O 0.646 0.816 0.999
O7 O 0.836 0.253 0.877
O8 O 0.857 0.300 0.371
F1 F 0.172 0.760 0.887
F2 F 0.227 0.699 0.371
F3 F 0.304 0.240 0.001
F4 F 0.696 0.727 0.749
F5 F 0.710 0.766 0.494
F6 F 0.711 0.777 0.258
F7 F 0.811 0.225 0.621
F8 F 0.817 0.225 0.118
```

Principal peaks in the range 2θ = 10–90°, by angle:
d/Å, two_theta, I_rel, index
3.507, 25.40, 100, 1 1 0
3.438, 25.91, 94, 1 -1 0
2.674, 33.51, 33, 0 1 4
2.628, 34.11, 32, 1 0 4
2.592, 34.60, 54, 0 1 -4
2.286, 39.42, 24, 1 -1 4
1.846, 49.36, 17, 1 2 4
1.814, 50.30, 33, -1 2 4
1.774, 51.53, 30, 1 -2 4
1.753, 52.17, 19, 2 2 0
1.719, 53.29, 17, 2 -2 0
1.550, 59.66, 22, 0 0 8

[4]
Structure and calculated powder X-ray diffraction pattern of MgMn6O10F2 (a crystal structure in the Materials Project, relaxed with GGA+U; Cu Kα (λ = 1.5418 Å)).

Atomic structure:
```
data_MgMn6O10F2
_chemical_formula_sum 'Mg1 Mn6 O10 F2'
_cell_length_a 5.137
_cell_length_b 5.787
_cell_length_c 7.495
_cell_angle_alpha 81.23
_cell_angle_beta 84.23
_cell_angle_gamma 80.26
_space_group_name_H-M_alt 'P 1'
_space_group_IT_number 1
loop_
_space_group_symop_operation_xyz
'x,y,z'
loop_
_atom_site_label
_atom_site_type_symbol
_atom_site_fract_x
_atom_site_fract_y
_atom_site_fract_z
Mg1 Mg 0.000 0.000 0.000
Mn1 Mn 0.042 0.037 0.501
Mn2 Mn 0.056 0.412 0.198
Mn3 Mn 0.472 0.504 0.491
Mn4 Mn 0.500 0.855 0.155
Mn5 Mn 0.507 0.168 0.813
Mn6 Mn 0.880 0.636 0.786
O1 O 0.152 0.701 0.575
O2 O 0.166 0.054 0.240
O3 O 0.345 0.217 0.585
O4 O 0.358 0.567 0.248
O5 O 0.376 0.879 0.924
O6 O 0.603 0.465 0.726
O7 O 0.627 0.143 0.052
O8 O 0.829 0.338 0.410
O9 O 0.845 0.000 0.742
O10 O 0.849 0.687 0.070
F1 F 0.129 0.327 0.919
F2 F 0.623 0.810 0.400
```

Principal peaks in the range 2θ = 10–90°, by angle:
d/Å, two_theta, I_rel, index
3.858, 23.06, 100, 1 1 1
3.204, 27.84, 80, -1 1 1
2.995, 29.83, 18, 1 1 2
2.545, 35.27, 19, 1 1 -2
2.524, 35.57, 48, 0 2 -1
2.501, 35.91, 17, 1 -1 2
2.462, 36.50, 23, 0 0 3
2.282, 39.48, 22, 1 0 3
1.862, 48.91, 20, 1 3 0
1.680, 54.61, 19, 1 -3 0
1.602, 57.52, 17, -2 2 2
1.456, 63.94, 19, 0 2 -4

[5]
Structure and calculated powder X-ray diffraction pattern of MgMn6O6F6 (a crystal structure in the Materials Project, relaxed with GGA+U; Cu Kα (λ = 1.5418 Å)).

Atomic structure:
```
data_MgMn6O6F6
_chemical_formula_sum 'Mg1 Mn6 O6 F6'
_cell_length_a 3.066
_cell_length_b 5.374
_cell_length_c 14.822
_cell_angle_alpha 95.53
_cell_angle_beta 90.05
_cell_angle_gamma 90.01
_space_group_name_H-M_alt 'P 1'
_space_group_IT_number 1
loop_
_space_group_symop_operation_xyz
'x,y,z'
loop_
_atom_site_label
_atom_site_type_symbol
_atom_site_fract_x
_atom_site_fract_y
_atom_site_fract_z
Mg1 Mg 0.000 0.000 0.000
Mn1 Mn 0.001 0.358 0.205
Mn2 Mn 0.005 0.640 0.793
Mn3 Mn 0.006 0.425 0.495
Mn4 Mn 0.500 0.501 0.999
Mn5 Mn 0.505 0.948 0.343
Mn6 Mn 0.506 0.054 0.653
O1 O 0.000 0.360 0.067
O2 O 0.000 0.641 0.933
O3 O 0.005 0.068 0.277
O4 O 0.006 0.199 0.594
O5 O 0.007 0.908 0.713
O6 O 0.505 0.256 0.433
F1 F 0.004 0.750 0.403
F2 F 0.499 0.118 0.928
F3 F 0.501 0.596 0.246
F4 F 0.501 0.883 0.074
F5 F 0.505 0.396 0.762
F6 F 0.506 0.635 0.552
```

Principal peaks in the range 2θ = 10–90°, by angle:
d/Å, two_theta, I_rel, index
4.145, 21.44, 42, 0 1 2
3.807, 23.36, 35, 0 1 -3
3.688, 24.13, 27, 0 0 4
3.458, 25.76, 95, 0 1 3
3.183, 28.03, 100, 0 1 -4
2.640, 33.96, 77, 1 1 -1
2.601, 34.48, 65, 1 0 3
2.541, 35.32, 27, 1 -1 2
2.208, 40.87, 26, 1 -1 4
1.692, 54.22, 49, 1 -1 7
1.546, 59.81, 45, 1 3 -1
1.533, 60.38, 33, 2 0 0

[6]
Structure and calculated powder X-ray diffraction pattern of MgMn6O6F6 (a crystal structure in the Materials Project, relaxed with GGA+U; Cu Kα (λ = 1.5418 Å)).

Atomic structure:
```
data_MgMn6O6F6
_chemical_formula_sum 'Mg1 Mn6 O6 F6'
_cell_length_a 3.128
_cell_length_b 5.305
_cell_length_c 14.722
_cell_angle_alpha 80.00
_cell_angle_beta 89.56
_cell_angle_gamma 89.69
_space_group_name_H-M_alt 'P 1'
_space_group_IT_number 1
loop_
_space_group_symop_operation_xyz
'x,y,z'
loop_
_atom_site_label
_atom_site_type_symbol
_atom_site_fract_x
_atom_site_fract_y
_atom_site_fract_z
Mg1 Mg 0.000 0.000 0.000
Mn1 Mn 0.003 0.431 0.789
Mn2 Mn 0.497 0.020 0.344
Mn3 Mn 0.500 0.043 0.653
Mn4 Mn 0.500 0.501 0.000
Mn5 Mn 0.994 0.541 0.500
Mn6 Mn 0.999 0.527 0.210
O1 O 0.002 0.378 0.930
O2 O 0.013 0.147 0.720
O3 O 0.493 0.354 0.563
O4 O 0.495 0.703 0.427
O5 O 0.499 0.326 0.254
O6 O 0.998 0.624 0.069
F1 F 0.497 0.105 0.072
F2 F 0.501 0.677 0.748
F3 F 0.503 0.896 0.927
F4 F 0.981 0.854 0.592
F5 F 0.996 0.164 0.407
F6 F 0.997 0.865 0.268
```

Principal peaks in the range 2θ = 10–90°, by angle:
d/Å, two_theta, I_rel, index
3.901, 22.79, 95, 0 1 3
3.275, 27.23, 84, 0 1 -3
3.254, 27.41, 91, 0 1 4
2.762, 32.42, 46, 0 1 -4
2.689, 33.32, 47, 1 1 0
2.676, 33.49, 44, -1 1 1
2.634, 34.04, 47, 1 0 3
2.614, 34.30, 100, 0 2 0
2.603, 34.46, 36, 1 1 2
2.263, 39.84, 51, 1 1 -3
1.722, 53.19, 37, 1 1 7
1.564, 59.08, 43, 2 0 0